Starting from the GGA-PBE geometry in Alexandria, the powder X-ray diffraction pattern of ScCd2ReC was computed for a wavelength of 1.5418 Å.
Neutral-atom scattering factors, no anomalous dispersion.

Peak list (12 most intense, 2θ from 10° to 80°, sorted by position)
- d = 5.453 Å, I = 72, hkl 1 0 0
- d = 3.519 Å, I = 17, hkl 1 0 1
- d = 2.957 Å, I = 100, hkl 1 1 1
- d = 2.726 Å, I = 61, hkl 2 0 0
- d = 2.438 Å, I = 19, hkl 2 1 0
- d = 2.304 Å, I = 19, hkl 0 0 2
- d = 2.122 Å, I = 13, hkl 1 0 2
- d = 1.928 Å, I = 22, hkl 2 2 0
- d = 1.760 Å, I = 32, hkl 2 0 2
- d = 1.615 Å, I = 33, hkl 3 1 1
- d = 1.478 Å, I = 20, hkl 2 2 2
- d = 1.427 Å, I = 14, hkl 1 1 3

Atomic structure:
Cell lengths 5.453, 5.453, 4.607 Å; angles 90.00, 90.00, 90.00 degrees
Space group P4/mmm (No. 123)
Symmetry-distinct sites (fractional):
1 Sc 0.000 0.000 0.000 (multiplicity 1)
2 Cd 0.000 0.500 0.000 (multiplicity 2)
3 Re 0.000 0.000 0.500 (multiplicity 1)
4 C 0.500 0.500 0.500 (multiplicity 1)

***

Starting from the GGA-PBE geometry in Alexandria, the powder X-ray diffraction pattern of KRbSrH4 was computed for a wavelength of 1.5418 Å.
Neutral-atom scattering factors, no anomalous dispersion.

Peak list (12 most intense, 2θ from 10° to 80°, sorted by position)
- d = 7.341 Å, I = 15, hkl 0 0 2
- d = 3.393 Å, I = 100, hkl 1 0 3
- d = 3.329 Å, I = 52, hkl 1 1 0
- d = 2.492 Å, I = 10, hkl 1 0 5
- d = 2.447 Å, I = 9, hkl 0 0 6
- d = 2.354 Å, I = 21, hkl 2 0 0
- d = 1.972 Å, I = 18, hkl 1 1 6
- d = 1.934 Å, I = 39, hkl 2 1 3
- d = 1.696 Å, I = 12, hkl 2 0 6
- d = 1.489 Å, I = 9, hkl 3 1 0
- d = 1.272 Å, I = 9, hkl 3 1 6
- d = 1.261 Å, I = 10, hkl 3 2 3

Atomic structure:
Cell lengths 4.707, 4.707, 14.683 Å; angles 90.00, 90.00, 90.00 degrees
Space group I4mm (No. 107)
Symmetry-distinct sites (fractional):
1 K 0.000 0.000 0.000 (multiplicity 2)
2 Rb 0.000 0.000 0.300 (multiplicity 2)
3 Sr 0.000 0.000 0.649 (multiplicity 2)
4 H 0.000 0.000 0.484 (multiplicity 2)
5 H 0.000 0.000 0.818 (multiplicity 2)
6 H 0.000 0.500 0.146 (multiplicity 4)